# 1
Theoretical powder diffractogram of SiAu4 for Cu Kα, 1.54184 Å, from a cell relaxed with PBE.

The 10 most intense peaks (2θ = 15–90°), sorted by position:
two_theta, d/Å, Rel. int.
29.8, 2.996, 81.9
31.9, 2.806, 65.2
38.8, 2.319, 100.0
39.0, 2.310, 98.1
44.2, 2.048, 53.6
45.6, 1.988, 14.1
59.1, 1.564, 22.8
59.2, 1.561, 19.9
70.9, 1.329, 25.3
71.1, 1.326, 34.9

Structure:
abc: 4.9622 4.9622 7.9600
angles: 90.00 90.00 105.72
Fractional positions:
Si 0.2264 0.7736 0.7500
Si 0.7736 0.2264 0.2500
Au 0.1083 0.4675 0.4921
Au 0.2722 0.2730 0.1774
Au 0.2730 0.2722 0.8226
Au 0.4675 0.1083 0.5079
Au 0.5325 0.8917 0.0079
Au 0.7270 0.7278 0.3226
Au 0.7278 0.7270 0.6774
Au 0.8917 0.5325 0.9921

# 2
Theoretical powder diffractogram of Sm3Si4Au2 for Cu Kα, 1.54184 Å, from a cell relaxed with PBE.

The 10 most intense peaks (2θ = 15–90°), sorted by position:
two_theta, d/Å, Rel. int.
17.8, 4.980, 18.1
22.5, 3.949, 16.7
30.3, 2.947, 14.7
32.6, 2.744, 100.0
32.8, 2.727, 57.4
42.6, 2.121, 22.3
43.1, 2.097, 42.8
43.7, 2.073, 20.8
54.8, 1.674, 22.9
63.1, 1.473, 14.6

Structure:
abc: 5.9047 5.9047 8.3340
angles: 100.59 100.59 42.11
Fractional positions:
Sm 0.0000 0.0000 0.0000
Sm 0.3372 0.3372 0.3283
Sm 0.6628 0.6628 0.6717
Si 0.0543 0.0543 0.3918
Si 0.2764 0.2764 0.9470
Si 0.7236 0.7236 0.0530
Si 0.9457 0.9457 0.6082
Au 0.3862 0.3862 0.7194
Au 0.6138 0.6138 0.2806

# 3
Theoretical powder diffractogram of SmYSi3Au for Cu Kα, 1.54184 Å, from a cell relaxed with PBE.

The 10 most intense peaks (2θ = 15–90°), sorted by position:
two_theta, d/Å, Rel. int.
16.4, 5.416, 13.0
21.7, 4.104, 16.3
24.1, 3.693, 30.5
33.1, 2.710, 100.0
43.4, 2.087, 14.6
44.0, 2.059, 28.3
44.1, 2.052, 14.0
56.2, 1.637, 14.2
63.5, 1.466, 18.8
73.0, 1.296, 9.7

Structure:
abc: 8.2716 8.2364 5.8543
angles: 69.55 68.91 41.54
Fractional positions:
Sm 0.2427 0.7573 0.2427
Sm 0.7573 0.2427 0.7573
Y 0.2500 0.2500 0.2500
Y 0.7500 0.7500 0.7500
Si 0.1643 0.1643 0.8357
Si 0.1643 0.6712 0.8357
Si 0.3288 0.8357 0.6712
Si 0.6712 0.1643 0.3288
Si 0.8357 0.3288 0.1643
Si 0.8357 0.8357 0.1643
Au 0.3325 0.3325 0.6675
Au 0.6675 0.6675 0.3325

# 4
Theoretical powder diffractogram of Sm2YSi4Au4 for Cu Kα, 1.54184 Å, from a cell relaxed with PBE.

The 10 most intense peaks (2θ = 15–90°), sorted by position:
two_theta, d/Å, Rel. int.
21.2, 4.185, 12.0
27.7, 3.217, 10.9
32.9, 2.725, 22.2
33.2, 2.699, 100.0
42.4, 2.133, 20.1
43.2, 2.095, 25.6
45.0, 2.012, 13.5
62.1, 1.494, 17.5
67.4, 1.389, 12.8
71.7, 1.316, 11.0

Structure:
abc: 12.9049 12.9049 12.9049
angles: 161.31 160.98 26.79
Fractional positions:
Sm 0.1476 0.1476 0.0000
Sm 0.8524 0.8524 0.0000
Y 0.5000 0.0000 0.5000
Si 0.0467 0.5467 0.5000
Si 0.3098 0.3098 0.0000
Si 0.6902 0.6902 0.0000
Si 0.9533 0.4533 0.5000
Au 0.2493 0.7493 0.5000
Au 0.4068 0.4068 0.0000
Au 0.5932 0.5932 0.0000
Au 0.7507 0.2507 0.5000

# 5
Theoretical powder diffractogram of SmYSi3Au for Cu Kα, 1.54184 Å, from a cell relaxed with PBE.

The 10 most intense peaks (2θ = 15–90°), sorted by position:
two_theta, d/Å, Rel. int.
16.3, 5.424, 14.6
24.1, 3.688, 29.6
30.5, 2.933, 14.6
33.1, 2.710, 100.0
43.4, 2.086, 14.6
43.9, 2.062, 19.8
44.0, 2.056, 28.1
56.1, 1.641, 15.0
63.5, 1.464, 18.7
73.0, 1.295, 9.8

Structure:
abc: 8.2475 8.2241 5.8669
angles: 69.35 68.92 41.73
Fractional positions:
Sm 0.2500 0.2500 0.2500
Sm 0.7500 0.7500 0.7500
Y 0.2421 0.7579 0.2421
Y 0.7579 0.2421 0.7579
Si 0.1633 0.1633 0.8367
Si 0.1647 0.6722 0.8353
Si 0.3278 0.8353 0.6722
Si 0.6722 0.1647 0.3278
Si 0.8353 0.3278 0.1647
Si 0.8367 0.8367 0.1633
Au 0.3345 0.3345 0.6655
Au 0.6655 0.6655 0.3345

# 6
Theoretical powder diffractogram of TbTm2Si4Au4 for Cu Kα, 1.54184 Å, from a cell relaxed with PBE.

The 10 most intense peaks (2θ = 15–90°), sorted by position:
two_theta, d/Å, Rel. int.
28.3, 3.159, 51.7
33.9, 2.642, 100.0
34.2, 2.622, 23.4
35.4, 2.533, 68.3
38.1, 2.359, 42.6
38.5, 2.336, 63.8
42.5, 2.125, 44.1
43.6, 2.078, 44.7
46.5, 1.952, 22.2
62.5, 1.486, 30.9

Structure:
abc: 8.1666 8.1666 8.1666
angles: 149.83 129.69 59.79
Fractional positions:
Tb 0.0000 0.0000 0.0000
Tm 0.3759 0.8759 0.5000
Tm 0.6241 0.1241 0.5000
Si 0.2170 0.2170 0.0000
Si 0.3244 0.5000 0.8244
Si 0.6756 0.5000 0.1756
Si 0.7830 0.7830 0.0000
Au 0.0370 0.3343 0.7028
Au 0.3685 0.6657 0.7028
Au 0.6315 0.3343 0.2972
Au 0.9630 0.6657 0.2972

# 7
Theoretical powder diffractogram of Y3Si4Au2 for Cu Kα, 1.54184 Å, from a cell relaxed with PBE.

The 10 most intense peaks (2θ = 15–90°), sorted by position:
two_theta, d/Å, Rel. int.
18.0, 4.917, 29.6
22.2, 4.012, 21.1
22.7, 3.917, 25.7
26.1, 3.415, 19.7
30.6, 2.921, 22.2
33.2, 2.699, 100.0
33.5, 2.678, 42.3
42.9, 2.109, 23.3
43.5, 2.079, 44.2
45.0, 2.015, 20.1

Structure:
abc: 5.7983 5.7983 8.2136
angles: 101.49 101.49 42.66
Fractional positions:
Y 0.0000 0.0000 0.0000
Y 0.3372 0.3372 0.3271
Y 0.6628 0.6628 0.6729
Si 0.0550 0.0550 0.3920
Si 0.2761 0.2761 0.9475
Si 0.7239 0.7239 0.0525
Si 0.9450 0.9450 0.6080
Au 0.3859 0.3859 0.7191
Au 0.6141 0.6141 0.2809

# 8
Theoretical powder diffractogram of Y3Zn2Si4Au2 for Cu Kα, 1.54184 Å, from a cell relaxed with PBE.

The 10 most intense peaks (2θ = 15–90°), sorted by position:
two_theta, d/Å, Rel. int.
21.5, 4.138, 23.1
28.4, 3.145, 25.3
30.7, 2.910, 15.8
33.4, 2.679, 30.7
34.0, 2.639, 100.0
43.1, 2.098, 22.6
44.9, 2.020, 20.2
45.3, 2.002, 24.0
55.7, 1.652, 14.1
65.7, 1.422, 15.8

Structure:
abc: 12.8612 12.8612 12.8612
angles: 161.93 161.23 26.17
Fractional positions:
Y 0.0000 0.0000 0.0000
Y 0.3538 0.8538 0.5000
Y 0.6462 0.1462 0.5000
Zn 0.2510 0.2510 0.0000
Zn 0.7490 0.7490 0.0000
Si 0.1915 0.6915 0.5000
Si 0.4534 0.4534 0.0000
Si 0.5466 0.5466 0.0000
Si 0.8085 0.3085 0.5000
Au 0.0951 0.5951 0.5000
Au 0.9049 0.4049 0.5000